This entry pairs a crystal structure of LiMg14Mn with its computed powder X-ray diffraction pattern. Radiation: a wavelength of 1.5418 Å. Structure: DFT lattice parameters and positions (GGA-PBE).
Peak positions follow from Bragg's law for the DFT cell and can differ from measured ones.

Atomic structure:
Unit cell a=9.950 b=6.362 c=10.794 alpha=90.00 beta=90.00 gamma=90.00
Space group Amm2 (No. 38)
Asymmetric unit:
Li 0.000 0.000 0.000 x2
Mg 0.000 0.248 0.246 x4
Mg 0.230 0.243 0.422 x8
Mg 0.237 0.000 0.662 x4
Mg 0.250 0.000 0.167 x4
Mg 0.500 0.000 0.498 x2
Mg 0.500 0.000 0.997 x2
Mg 0.500 0.247 0.750 x4
Mn 0.000 0.000 0.498 x2

Principal peaks in the range 2θ = 5–70°, most intense first:
2θ/deg  I/Imax  h k l
37.47  100  2 2 2
37.93  44  2 0 4
36.11  34  4 0 0
32.68  22  0 2 2
58.99  16  0 2 6
65.83  15  6 2 2
18.48  14  1 1 1
33.20  14  0 0 4
49.49  12  4 2 2
16.17  10  0 1 1
57.99  9  0 4 0
49.86  8  4 0 4

This entry pairs a crystal structure of LiMg14Mn with its computed powder X-ray diffraction pattern. Radiation: a wavelength of 1.5418 Å. Structure: DFT lattice parameters and positions (GGA-PBE).
Peak positions follow from Bragg's law for the DFT cell and can differ from measured ones.

Atomic structure:
Unit cell a=6.3293 b=6.3293 c=10.0836 alpha=90.00 beta=90.00 gamma=120.00
Space group P-6m2 (No. 187)
Asymmetric unit:
Li 0.0000 0.0000 0.0000 x1
Mg 0.0008 0.5004 0.5000 x3
Mg 0.0012 0.5006 0.0000 x3
Mg 0.1635 0.3269 0.2525 x6
Mg 0.6667 0.3333 0.2495 x2
Mn 0.0000 0.0000 0.5000 x1

Principal peaks in the range 2θ = 5–70°, most intense first:
2θ/deg  I/Imax  h k l
37.35  100  2 0 2
35.61  25  0 0 4
32.67  24  2 0 0
65.11  18  2 0 6
58.31  17  2 2 0
49.10  15  2 0 4
18.42  13  1 0 1
8.77  11  0 0 1
29.58  4  1 1 1
31.22  3  1 0 3
68.47  3  4 0 0
33.89  2  2 0 1

This entry pairs a crystal structure of LiMg14Mo with its computed powder X-ray diffraction pattern. Radiation: a wavelength of 1.5418 Å. Structure: DFT lattice parameters and positions (GGA-PBE).
Peak positions follow from Bragg's law for the DFT cell and can differ from measured ones.

Atomic structure:
Unit cell a=9.949 b=6.376 c=10.849 alpha=90.00 beta=90.00 gamma=90.00
Space group Amm2 (No. 38)
Asymmetric unit:
Li 0.000 0.000 0.000 x2
Mg 0.000 0.248 0.751 x4
Mg 0.238 0.243 0.423 x8
Mg 0.241 0.000 0.662 x4
Mg 0.248 0.000 0.167 x4
Mg 0.500 0.000 0.000 x2
Mg 0.500 0.000 0.501 x2
Mg 0.500 0.249 0.752 x4
Mo 0.000 0.000 0.499 x2

Principal peaks in the range 2θ = 5–70°, most intense first:
2θ/deg  I/Imax  h k l
37.38  100  2 2 2
37.78  47  2 0 4
36.11  36  4 0 0
18.44  33  1 1 1
16.12  25  0 1 1
32.58  24  0 2 2
8.89  18  1 0 0
65.77  17  6 2 2
58.70  17  0 2 6
24.13  15  2 1 1
49.42  14  4 2 2
33.03  13  0 0 4

This entry pairs a crystal structure of LiMg14Mo with its computed powder X-ray diffraction pattern. Radiation: a wavelength of 1.5418 Å. Structure: DFT lattice parameters and positions (GGA-PBE).
Peak positions follow from Bragg's law for the DFT cell and can differ from measured ones.

Atomic structure:
Unit cell a=6.3199 b=6.3199 c=9.9048 alpha=90.00 beta=90.00 gamma=120.00
Space group P-6m2 (No. 187)
Asymmetric unit:
Li 0.0000 0.0000 0.0000 x1
Mg 0.0014 0.5007 0.5000 x3
Mg 0.0018 0.5009 0.0000 x3
Mg 0.1609 0.3218 0.2558 x6
Mg 0.6667 0.3333 0.2500 x2
Mo 0.0000 0.0000 0.5000 x1

Principal peaks in the range 2θ = 5–70°, most intense first:
2θ/deg  I/Imax  h k l
37.55  100  2 0 2
18.52  33  1 0 1
8.93  30  0 0 1
32.72  25  2 0 0
36.28  24  0 0 4
58.41  18  2 2 0
66.10  17  2 0 6
49.65  15  2 0 4
29.68  10  1 1 1
16.19  9  1 0 0
31.65  8  1 0 3
33.99  7  2 0 1

This entry pairs a crystal structure of LiMgN with its computed powder X-ray diffraction pattern. Radiation: a wavelength of 1.5418 Å. Structure: DFT lattice parameters and positions (GGA-PBE).
Peak positions follow from Bragg's law for the DFT cell and can differ from measured ones.

Atomic structure:
Unit cell a=7.203 b=3.517 c=5.035 alpha=90.00 beta=90.00 gamma=90.00
Space group Pnma (No. 62)
Asymmetric unit:
Li 0.096 0.250 0.028 x4
Mg 0.144 0.250 0.520 x4
N 0.120 0.750 0.270 x4

Principal peaks in the range 2θ = 5–70°, most intense first:
2θ/deg  I/Imax  h k l
51.34  100  2 1 2
21.53  58  1 0 1
33.47  57  1 1 1
35.67  37  0 0 2
31.01  36  0 1 1
41.67  31  3 0 1
52.00  27  0 2 0
50.70  24  4 0 0
30.52  19  2 0 1
68.74  13  3 2 1
62.67  12  1 1 3
56.91  7  1 2 1

This entry pairs a crystal structure of NaLiMg14 with its computed powder X-ray diffraction pattern. Radiation: a wavelength of 1.5418 Å. Structure: DFT lattice parameters and positions (GGA-PBE).
Peak positions follow from Bragg's law for the DFT cell and can differ from measured ones.

Atomic structure:
Unit cell a=6.4659 b=6.4659 c=10.1856 alpha=90.00 beta=90.00 gamma=120.00
Space group P-6m2 (No. 187)
Asymmetric unit:
Na 0.0000 0.0000 0.0000 x1
Li 0.0000 0.0000 0.5000 x1
Mg 0.0010 0.5005 0.5000 x3
Mg 0.0015 0.5008 0.0000 x3
Mg 0.1670 0.3340 0.2535 x6
Mg 0.6667 0.3333 0.2487 x2

Principal peaks in the range 2θ = 5–70°, most intense first:
2θ/deg  I/Imax  h k l
36.63  100  2 0 2
35.25  25  0 0 4
31.97  25  2 0 0
68.79  19  2 2 4
64.16  18  2 0 6
56.97  17  2 2 0
48.31  15  2 0 4
69.66  14  4 0 2
66.83  3  4 0 0
15.83  2  1 0 0
18.08  2  1 0 1
23.61  1  1 0 2

This entry pairs a crystal structure of NaLiMg14 with its computed powder X-ray diffraction pattern. Radiation: a wavelength of 1.5418 Å. Structure: DFT lattice parameters and positions (GGA-PBE).
Peak positions follow from Bragg's law for the DFT cell and can differ from measured ones.

Atomic structure:
Unit cell a=10.348 b=6.410 c=11.200 alpha=90.00 beta=90.00 gamma=90.00
Space group Amm2 (No. 38)
Asymmetric unit:
Na 0.000 0.000 0.000 x2
Li 0.000 0.000 0.500 x2
Mg 0.000 0.250 0.249 x4
Mg 0.248 0.000 0.666 x4
Mg 0.254 0.000 0.168 x4
Mg 0.254 0.247 0.416 x8
Mg 0.500 0.000 0.000 x2
Mg 0.500 0.000 0.499 x2
Mg 0.500 0.250 0.250 x4

Principal peaks in the range 2θ = 5–70°, most intense first:
2θ/deg  I/Imax  h k l
36.68  100  2 2 2
36.49  51  2 0 4
34.67  39  4 0 0
32.18  24  0 2 2
68.56  19  4 2 6
63.46  18  6 2 2
57.10  17  0 2 6
48.03  15  4 2 2
31.96  12  0 0 4
68.93  9  4 4 0
63.33  9  6 0 4
57.51  9  0 4 0

This entry pairs a crystal structure of NaLiMg6 with its computed powder X-ray diffraction pattern. Radiation: a wavelength of 1.5418 Å. Structure: DFT lattice parameters and positions (GGA-PBE).
Peak positions follow from Bragg's law for the DFT cell and can differ from measured ones.

Atomic structure:
Unit cell a=5.241 b=6.446 c=11.152 alpha=90.00 beta=90.00 gamma=90.00
Space group Amm2 (No. 38)
Asymmetric unit:
Na 0.000 0.000 0.000 x2
Li 0.500 0.000 0.167 x2
Mg 0.000 0.000 0.498 x2
Mg 0.000 0.248 0.248 x4
Mg 0.500 0.000 0.665 x2
Mg 0.500 0.247 0.414 x4

Principal peaks in the range 2θ = 5–70°, most intense first:
2θ/deg  I/Imax  h k l
36.49  100  1 0 4
34.21  27  2 0 0
32.08  25  0 2 2
68.36  19  2 4 0
62.75  19  3 0 4
57.19  17  0 4 0
47.61  16  2 2 2
69.77  13  1 4 4
15.88  7  0 1 1
23.29  6  1 0 2
67.11  3  0 0 8
32.63  2  1 1 3

This entry pairs a crystal structure of NaLiMg6 with its computed powder X-ray diffraction pattern. Radiation: a wavelength of 1.5418 Å. Structure: DFT lattice parameters and positions (GGA-PBE).
Peak positions follow from Bragg's law for the DFT cell and can differ from measured ones.

Atomic structure:
Unit cell a=5.283 b=6.390 c=11.178 alpha=90.00 beta=90.00 gamma=90.00
Space group Amm2 (No. 38)
Asymmetric unit:
Na 0.000 0.000 0.000 x2
Li 0.000 0.000 0.500 x2
Mg 0.000 0.250 0.250 x4
Mg 0.500 0.000 0.168 x2
Mg 0.500 0.000 0.666 x2
Mg 0.500 0.247 0.416 x4

Principal peaks in the range 2θ = 5–70°, most intense first:
2θ/deg  I/Imax  h k l
36.59  100  1 2 2
36.37  51  1 0 4
33.94  41  2 0 0
32.27  25  0 2 2
62.47  20  3 2 2
68.24  19  2 2 6
57.24  17  0 2 6
47.53  16  2 2 2
32.03  12  0 0 4
62.32  10  3 0 4
68.66  9  2 4 0
23.22  9  1 0 2